Record 1
BaNiH6Pd: theoretical powder diffractogram (CuKα), based on a crystal structure in Alexandria, relaxed with PBE.
Kinematic intensities with the Lorentz-polarization factor, no thermal factor.

Most intense lines, 2θ = 10–80°, in order of rising 2θ:
Position (°2θ)  I (rel.)  index
21.07  60  1 0 0
28.26  1000  1 0 1
36.92  451  1 1 0
37.76  137  0 0 2
47.14  235  2 0 1
53.84  304  1 1 2
61.34  216  2 1 1
62.49  101  1 0 3
66.53  78  3 0 0
74.85  61  2 0 3
78.59  50  2 2 0
79.11  96  3 0 2

```
data_BaNiH6Pd
_space_group_name_H-M_alt 'P -6 m 2'
_space_group_IT_number 187
_space_group_name_Hall 'P -6 2'
_cell_length_a 4.8690
_cell_length_b 4.8690
_cell_length_c 4.7646
_cell_angle_alpha 90.00
_cell_angle_beta 90.00
_cell_angle_gamma 120.00
loop_
_atom_site_label
_atom_site_fract_x
_atom_site_fract_y
_atom_site_fract_z
_atom_site_occupancy
Ba1 0.0000 0.0000 0.0000 1
Ni1 0.6667 0.3333 0.5000 1
H1 0.5151 0.0302 0.2931 1
Pd1 0.3333 0.6667 0.5000 1
```



Record 2
RbBaNiH6: theoretical powder diffractogram (CuKα), based on a crystal structure in Alexandria, relaxed with PBE.
Kinematic intensities with the Lorentz-polarization factor, no thermal factor.

Most intense lines, 2θ = 10–80°, in order of rising 2θ:
Position (°2θ)  I (rel.)  index
18.91  77  2 0 0
25.83  1000  1 1 1
33.07  513  3 1 0
40.32  226  2 0 2
42.43  272  4 0 1
49.12  105  0 2 2
53.10  102  2 2 2
54.82  238  4 2 1
57.79  96  1 1 -3
59.07  93  6 0 0
63.99  114  5 1 2
75.39  95  7 1 1

```
data_RbBaNiH6
_space_group_name_H-M_alt 'C 1 m 1'
_space_group_IT_number 8
_cell_length_a 9.380
_cell_length_b 5.420
_cell_length_c 5.089
_cell_angle_alpha 90.00
_cell_angle_beta 90.09
_cell_angle_gamma 90.00
loop_
_space_group_symop_operation_xyz
'x,y,z'
'x,-y,z'
'x+1/2,y+1/2,z'
'x+1/2,-y+1/2,z'
loop_
_atom_site_label
_atom_site_fract_x
_atom_site_fract_y
_atom_site_fract_z
_atom_site_occupancy
Rb1 0.000 0.000 0.000 1
Ba1 0.334 0.000 0.530 1
Ni1 0.167 0.500 0.306 1
H1 0.028 0.500 0.129 1
H2 0.097 0.290 0.478 1
H3 0.236 0.293 0.129 1
H4 0.307 0.500 0.478 1
```